1.
This entry pairs a crystal structure of Y3Se4 with its simulated powder XRD pattern. Radiation: λ = 1.5418 Å (Cu Kα). Structure: a crystal structure in the Materials Project, relaxed with PBE.
Neutral-atom scattering factors, no anomalous dispersion.

Largest 10 diffraction maxima, in order of rising 2θ, 2θ = 15–90°:
two_theta  I (rel.)
30.97  100
31.32  49
44.20  18
44.54  54
44.72  35
55.16  19
55.30  9
55.61  9
64.55  12
73.60  15

Structure:
Lattice parameters (Å, degrees): 8.1382 8.1382 13.9897 106.41 106.41 60.48
Fractional coordinates of all 28 atoms:
1 Y 0.0000 0.0000 0.0000
2 Y 0.0000 0.0000 0.5000
3 Y 0.0000 0.5000 0.0000
4 Y 0.0000 0.5000 0.5000
5 Y 0.2550 0.2550 0.2544
6 Y 0.2573 0.7394 0.7458
7 Y 0.2606 0.7427 0.2542
8 Y 0.5000 0.0000 0.0000
9 Y 0.5000 0.0000 0.5000
10 Y 0.7394 0.2573 0.7458
11 Y 0.7427 0.2606 0.2542
12 Y 0.7450 0.7450 0.7456
13 Se 0.1175 0.6301 0.8745
14 Se 0.1227 0.6276 0.3745
15 Se 0.1246 0.1246 0.3743
16 Se 0.1252 0.1252 0.8722
17 Se 0.3699 0.8825 0.1255
18 Se 0.3725 0.3725 0.6245
19 Se 0.3724 0.8773 0.6255
20 Se 0.3771 0.3771 0.1223
21 Se 0.6229 0.6229 0.8777
22 Se 0.6276 0.1227 0.3745
23 Se 0.6275 0.6275 0.3755
24 Se 0.6301 0.1175 0.8745
25 Se 0.8748 0.8748 0.1278
26 Se 0.8754 0.8754 0.6257
27 Se 0.8773 0.3724 0.6255
28 Se 0.8825 0.3699 0.1255

2.
This entry pairs a crystal structure of Cu9S5 with its simulated powder XRD pattern. Radiation: λ = 1.5418 Å (Cu Kα). Structure: a crystal structure in the Materials Project, relaxed with PBE.
Neutral-atom scattering factors, no anomalous dispersion.

Largest 10 diffraction maxima, in order of rising 2θ, 2θ = 15–90°:
two_theta  I (rel.)
28.12  13
32.58  49
46.74  100
58.14  9
68.13  5
68.30  10
77.69  6
86.71  10
86.80  15
86.91  5

Structure:
Lattice parameters (Å, degrees): 6.7251 7.7690 8.7034 77.14 75.03 73.30
Fractional coordinates of all 28 atoms:
1 Cu 0.0462 0.4480 0.1501
2 Cu 0.0464 0.9544 0.1501
3 Cu 0.1509 0.3489 0.4488
4 Cu 0.1515 0.8494 0.4535
5 Cu 0.2563 0.2494 0.7447
6 Cu 0.3477 0.1519 0.0436
7 Cu 0.3495 0.6511 0.0458
8 Cu 0.4457 0.0548 0.3476
9 Cu 0.4540 0.5465 0.3492
10 Cu 0.5460 0.4535 0.6508
11 Cu 0.5543 0.9452 0.6524
12 Cu 0.6505 0.3489 0.9542
13 Cu 0.6523 0.8481 0.9564
14 Cu 0.7437 0.7506 0.2553
15 Cu 0.8485 0.1506 0.5465
16 Cu 0.8491 0.6511 0.5512
17 Cu 0.9536 0.0456 0.8499
18 Cu 0.9538 0.5520 0.8499
19 S 0.0974 0.1503 0.3005
20 S 0.1013 0.6500 0.2994
21 S 0.2995 0.4530 0.8996
22 S 0.2987 0.9481 0.8990
23 S 0.4976 0.7501 0.5017
24 S 0.5024 0.2499 0.4983
25 S 0.7013 0.0519 0.1010
26 S 0.7005 0.5470 0.1004
27 S 0.8987 0.3500 0.7006
28 S 0.9026 0.8497 0.6995

3.
This entry pairs a crystal structure of Mg2Si with its simulated powder XRD pattern. Radiation: λ = 1.5418 Å (Cu Kα). Structure: a crystal structure in the Materials Project, relaxed with PBE.
Neutral-atom scattering factors, no anomalous dispersion.

Largest 10 diffraction maxima, in order of rising 2θ, 2θ = 15–90°:
two_theta  I (rel.)
34.75  29
35.46  25
35.66  100
36.12  42
36.53  80
39.00  57
39.59  62
39.91  51
40.07  61
42.89  43

Structure:
Lattice parameters (Å, degrees): 5.8616 5.8759 7.9277 105.49 90.02 118.49
Fractional coordinates of all 12 atoms:
1 Mg 0.0000 0.0000 0.0000
2 Mg 0.0039 0.5101 0.0285
3 Mg 0.2413 0.4884 0.6687
4 Mg 0.4448 0.3915 0.3012
5 Mg 0.4571 0.9123 0.3739
6 Mg 0.5051 0.9919 0.0103
7 Mg 0.7602 0.5123 0.6634
8 Mg 0.9602 0.9099 0.3891
9 Si 0.3001 0.0287 0.7035
10 Si 0.4807 0.4568 0.9672
11 Si 0.7231 0.0075 0.7033
12 Si 0.9473 0.3863 0.3356

4.
This entry pairs a crystal structure of SbH3 with its simulated powder XRD pattern. Radiation: λ = 1.5418 Å (Cu Kα). Structure: a crystal structure in the Materials Project, relaxed with PBE.
Neutral-atom scattering factors, no anomalous dispersion.

Largest 10 diffraction maxima, in order of rising 2θ, 2θ = 15–90°:
two_theta  I (rel.)
28.91  28
30.02  100
37.44  28
47.99  29
51.94  21
53.99  10
62.40  12
63.02  24
72.82  8
78.20  13

Structure:
Lattice parameters (Å, degrees): 3.9122 3.9122 3.9122 128.54 128.54 75.75
Fractional coordinates of all 4 atoms:
1 Sb 0.0000 0.0000 0.0000
2 H 0.2500 0.7500 0.5000
3 H 0.5000 0.5000 0.0000
4 H 0.7500 0.2500 0.5000

5.
This entry pairs a crystal structure of Cd2TeSe with its simulated powder XRD pattern. Radiation: λ = 1.5418 Å (Cu Kα). Structure: a crystal structure in the Materials Project, relaxed with PBE.
Neutral-atom scattering factors, no anomalous dispersion.

Largest 10 diffraction maxima, in order of rising 2θ, 2θ = 15–90°:
two_theta  I (rel.)
22.61  100
24.02  55
25.65  64
33.22  44
39.70  88
43.26  85
46.94  53
60.15  31
67.54  21
74.51  33

Structure:
Lattice parameters (Å, degrees): 4.5406 4.5406 7.4102 90.00 90.00 120.00
Fractional coordinates of all 4 atoms:
1 Cd 0.0000 0.0000 0.0000
2 Cd 0.3333 0.6667 0.5297
3 Te 0.3333 0.6667 0.1412
4 Se 0.0000 0.0000 0.6382

6.
This entry pairs a crystal structure of Na2ThF6 with its simulated powder XRD pattern. Radiation: λ = 1.5418 Å (Cu Kα). Structure: a crystal structure in the Materials Project, relaxed with PBE.
Neutral-atom scattering factors, no anomalous dispersion.

Largest 10 diffraction maxima, in order of rising 2θ, 2θ = 15–90°:
two_theta  I (rel.)
15.62  100
17.42  35
20.06  70
27.06  60
27.44  67
27.69  34
30.49  21
31.75  21
45.13  35
45.94  32

Structure:
Lattice parameters (Å, degrees): 6.8802 6.8802 6.9812 99.41 99.41 120.53
Fractional coordinates of all 18 atoms:
1 Na 0.0812 0.9188 0.7500
2 Na 0.2430 0.7570 0.2500
3 Na 0.7570 0.2430 0.7500
4 Na 0.9188 0.0812 0.2500
5 Th 0.4073 0.5927 0.7500
6 Th 0.5927 0.4073 0.2500
7 F 0.0669 0.2298 0.6287
8 F 0.1390 0.6287 0.8741
9 F 0.2298 0.0669 0.1287
10 F 0.3152 0.4695 0.3842
11 F 0.3713 0.8610 0.6259
12 F 0.4695 0.3152 0.8842
13 F 0.5305 0.6848 0.1158
14 F 0.6287 0.1390 0.3741
15 F 0.6848 0.5305 0.6158
16 F 0.7702 0.9331 0.8713
17 F 0.8610 0.3713 0.1259
18 F 0.9331 0.7702 0.3713

7.
This entry pairs a crystal structure of ZnSeO4 with its simulated powder XRD pattern. Radiation: λ = 1.5418 Å (Cu Kα). Structure: a crystal structure in the Materials Project, relaxed with PBE.
Neutral-atom scattering factors, no anomalous dispersion.

Largest 10 diffraction maxima, in order of rising 2θ, 2θ = 15–90°:
two_theta  I (rel.)
17.54  41
25.09  29
30.78  50
31.83  100
32.05  60
35.64  21
41.19  20
55.40  18
63.84  20
67.03  20

Structure:
Lattice parameters (Å, degrees): 7.2053 5.8098 7.0994 90.00 90.00 90.00
Fractional coordinates of all 24 atoms:
1 Zn 0.1878 0.2500 0.2227
2 Zn 0.3122 0.7500 0.7227
3 Zn 0.6878 0.2500 0.2773
4 Zn 0.8122 0.7500 0.7773
5 Se 0.0031 0.2500 0.6475
6 Se 0.4969 0.7500 0.1475
7 Se 0.5031 0.2500 0.8525
8 Se 0.9969 0.7500 0.3525
9 O 0.0142 0.0090 0.7796
10 O 0.0142 0.4910 0.7796
11 O 0.1933 0.2500 0.5099
12 O 0.2002 0.7500 0.4669
13 O 0.2998 0.2500 0.9669
14 O 0.3067 0.7500 0.0099
15 O 0.4858 0.5090 0.2796
16 O 0.4858 0.9910 0.2796
17 O 0.5142 0.0090 0.7204
18 O 0.5142 0.4910 0.7204
19 O 0.6933 0.2500 0.9901
20 O 0.7002 0.7500 0.0331
21 O 0.7998 0.2500 0.5331
22 O 0.8067 0.7500 0.4901
23 O 0.9858 0.5090 0.2204
24 O 0.9858 0.9910 0.2204

8.
This entry pairs a crystal structure of TiMnCr with its simulated powder XRD pattern. Radiation: λ = 1.5418 Å (Cu Kα). Structure: a crystal structure in the Materials Project, relaxed with PBE.
Neutral-atom scattering factors, no anomalous dispersion.

Largest 10 diffraction maxima, in order of rising 2θ, 2θ = 15–90°:
two_theta  I (rel.)
37.39  24
40.80  67
44.20  100
45.04  93
46.39  22
49.58  24
69.73  13
72.23  14
76.05  27
79.70  16

Structure:
Lattice parameters (Å, degrees): 7.8286 4.8125 4.8125 59.90 90.00 90.00
Fractional coordinates of all 12 atoms:
1 Ti 0.1859 0.0000 0.0000
2 Ti 0.3103 0.3332 0.3332
3 Ti 0.6897 0.3332 0.3332
4 Ti 0.8141 0.0000 0.0000
5 Mn 0.0000 0.0114 0.4935
6 Mn 0.0000 0.4935 0.0114
7 Mn 0.0000 0.4944 0.4944
8 Mn 0.5000 0.8367 0.8367
9 Cr 0.2438 0.6679 0.6679
10 Cr 0.5000 0.3259 0.8355
11 Cr 0.5000 0.8355 0.3259
12 Cr 0.7562 0.6679 0.6679

9.
This entry pairs a crystal structure of LaCuSi with its simulated powder XRD pattern. Radiation: λ = 1.5418 Å (Cu Kα). Structure: a crystal structure in the Materials Project, relaxed with PBE.
Neutral-atom scattering factors, no anomalous dispersion.

Largest 10 diffraction maxima, in order of rising 2θ, 2θ = 15–90°:
two_theta  I (rel.)
24.13  24
32.67  100
42.46  38
44.19  11
50.98  6
54.58  23
62.95  23
71.50  20
73.99  9
77.69  6

Structure:
Lattice parameters (Å, degrees): 4.2580 4.2580 8.1974 90.00 90.00 120.00
Fractional coordinates of all 6 atoms:
1 La 0.0000 0.0000 0.0000
2 La 0.0000 0.0000 0.5000
3 Cu 0.3333 0.6667 0.2500
4 Cu 0.6667 0.3333 0.7500
5 Si 0.3333 0.6667 0.7500
6 Si 0.6667 0.3333 0.2500

10.
This entry pairs a crystal structure of Ga with its simulated powder XRD pattern. Radiation: λ = 1.5418 Å (Cu Kα). Structure: a crystal structure in the Materials Project, relaxed with PBE.
Neutral-atom scattering factors, no anomalous dispersion.

Largest 8 diffraction maxima, in order of rising 2θ, 2θ = 15–90°:
two_theta  I (rel.)
36.96  25
37.07  100
45.87  27
60.31  23
66.68  17
66.89  8
78.70  3
79.00  31

Structure:
Lattice parameters (Å, degrees): 3.1348 3.1348 3.1348 127.00 127.00 78.25
Fractional coordinates of all 1 atoms:
1 Ga 0.0000 0.0000 0.0000

11.
This entry pairs a crystal structure of Eu2MgS4 with its simulated powder XRD pattern. Radiation: λ = 1.5418 Å (Cu Kα). Structure: a crystal structure in the Materials Project, relaxed with PBE.
Neutral-atom scattering factors, no anomalous dispersion.

Largest 10 diffraction maxima, in order of rising 2θ, 2θ = 15–90°:
two_theta  I (rel.)
19.03  31
24.83  35
24.95  100
27.29  31
27.66  32
31.58  80
33.89  61
42.87  40
44.05  28
46.84  33

Structure:
Lattice parameters (Å, degrees): 13.0704 7.7978 12.7829 90.00 90.00 90.00
Fractional coordinates of all 56 atoms:
1 Eu 0.1087 0.1145 0.0000
2 Eu 0.1259 0.6161 0.6406
3 Eu 0.1352 0.3685 0.3087
4 Eu 0.1363 0.8700 0.3075
5 Eu 0.3637 0.8700 0.8075
6 Eu 0.3648 0.3685 0.8087
7 Eu 0.3741 0.6161 0.1406
8 Eu 0.3913 0.1145 0.5000
9 Eu 0.6087 0.8855 0.0000
10 Eu 0.6259 0.3839 0.6406
11 Eu 0.6352 0.6315 0.3087
12 Eu 0.6363 0.1300 0.3075
13 Eu 0.8637 0.1300 0.8075
14 Eu 0.8648 0.6315 0.8087
15 Eu 0.8741 0.3839 0.1406
16 Eu 0.8913 0.8855 0.5000
17 Mg 0.1106 0.6161 0.0078
18 Mg 0.1253 0.1213 0.6357
19 Mg 0.3747 0.1213 0.1357
20 Mg 0.3894 0.6161 0.5078
21 Mg 0.6106 0.3839 0.0078
22 Mg 0.6253 0.8787 0.6357
23 Mg 0.8747 0.8787 0.1357
24 Mg 0.8894 0.3839 0.5078
25 S 0.0104 0.1169 0.1953
26 S 0.0216 0.6289 0.1856
27 S 0.0259 0.6150 0.4460
28 S 0.0438 0.1274 0.4562
29 S 0.2083 0.1188 0.8117
30 S 0.2094 0.6187 0.8394
31 S 0.2315 0.8630 0.0871
32 S 0.2352 0.3607 0.0908
33 S 0.2648 0.3607 0.5908
34 S 0.2685 0.8630 0.5871
35 S 0.2906 0.6187 0.3394
36 S 0.2917 0.1188 0.3117
37 S 0.4562 0.1274 0.9562
38 S 0.4741 0.6150 0.9460
39 S 0.4784 0.6289 0.6856
40 S 0.4896 0.1169 0.6953
41 S 0.5104 0.8831 0.1953
42 S 0.5216 0.3711 0.1856
43 S 0.5259 0.3850 0.4460
44 S 0.5438 0.8726 0.4562
45 S 0.7083 0.8812 0.8117
46 S 0.7094 0.3813 0.8394
47 S 0.7315 0.1370 0.0871
48 S 0.7352 0.6393 0.0908
49 S 0.7648 0.6393 0.5908
50 S 0.7685 0.1370 0.5871
51 S 0.7906 0.3813 0.3394
52 S 0.7917 0.8812 0.3117
53 S 0.9562 0.8726 0.9562
54 S 0.9741 0.3850 0.9460
55 S 0.9784 0.3711 0.6856
56 S 0.9896 0.8831 0.6953